This entry pairs a crystal structure of NdMnO3 with its simulated powder diffractogram. Radiation: Cu Kα (λ = 1.5418 Å). Structure: a cell relaxed with GGA+U.
No peak broadening, texture or thermal motion is included.

Principal peaks in the range 2θ from 10° to 90°, low angle first:
hkl 1 1 0, 19.96 deg, rel. 40; hkl 1 1 1, 23.91 deg, rel. 73; hkl 0 2 0, 25.81 deg, rel. 35; hkl 0 2 1, 28.77 deg, rel. 100; hkl 1 0 -2, 29.06 deg, rel. 92; hkl 1 1 2, 32.76 deg, rel. 59; hkl 2 1 0, 33.43 deg, rel. 79; hkl 1 3 1, 44.39 deg, rel. 41; hkl 1 2 -3, 48.85 deg, rel. 28; hkl 3 0 2, 54.78 deg, rel. 47

Crystal structure
```
20
Lattice="5.821 0.000 0.000 0.000 6.903 0.000 -0.253 0.000 7.080" Properties=species:S:1:pos:R:3 pbc="T T T"
Nd 0.823 1.054 2.321
Nd 0.697 2.397 5.861
Nd 4.872 4.506 1.220
Nd 4.745 5.849 4.760
Mn 2.126 4.794 3.082
Mn 2.000 5.561 6.622
Mn 3.568 1.342 0.458
Mn 3.442 2.110 3.998
O 0.287 4.663 6.265
O 0.413 5.692 2.725
O 1.739 0.676 0.149
O 1.613 2.776 3.690
O 2.452 4.465 1.170
O 2.326 5.890 4.710
O 3.242 1.014 2.370
O 3.116 2.438 5.910
O 3.955 4.128 3.391
O 3.829 6.228 6.931
O 5.155 1.211 4.356
O 5.281 2.240 0.815
```